Record 1
# La2HS
Simulated X-ray diffraction stick pattern, λ = 1.5418 Å (Cu Kα). Input: a cell relaxed with GGA-PBE.
Lines closer than 0.1° are merged.

Structural model:
a b c (Å): 3.9818 3.9818 19.6566
angles (deg): 90.00 90.00 120.00
Space group R-3m (No. 166, hexagonal axes)
Symmetry-distinct sites (fractional):
La 0.0000 0.0000 0.2467 (multiplicity 6)
H 0.0000 0.0000 0.5000 (multiplicity 3)
S 0.0000 0.0000 0.0000 (multiplicity 3)

Principal peaks in the range 10 to 90 degrees two-theta, by intensity:
hkl 1 0 4, d = 2.823 Å, I 1000
hkl 0 1 2, d = 3.254 Å, I 866
hkl 1 1 0, d = 1.991 Å, I 361
hkl 0 1 8, d = 2.001 Å, I 358
hkl 0 0 6, d = 3.276 Å, I 289
hkl 1 1 6, d = 1.701 Å, I 270
hkl 0 2 4, d = 1.627 Å, I 187
hkl 2 1 4, d = 1.260 Å, I 158
hkl 1 1 12, d = 1.265 Å, I 152
hkl 2 0 2, d = 1.698 Å, I 136

=====

Record 2
# LaSbH2
Simulated X-ray diffraction stick pattern, λ = 1.5418 Å (Cu Kα). Input: a cell relaxed with GGA-PBE.
Lines closer than 0.1° are merged.

Structural model:
a b c (Å): 3.8507 12.9390 5.9084
angles (deg): 90.00 90.00 90.00
Space group Cmcm (No. 63)
Symmetry-distinct sites (fractional):
La 0.0000 0.1810 0.2500 (multiplicity 4)
Sb 0.0000 0.4563 0.2500 (multiplicity 4)
H 0.0000 0.2698 0.5710 (multiplicity 8)

Principal peaks in the range 10 to 90 degrees two-theta, by intensity:
hkl 1 1 1, d = 3.130 Å, I 1000
hkl 0 4 1, d = 2.837 Å, I 943
hkl 1 3 0, d = 2.872 Å, I 745
hkl 1 3 2, d = 2.059 Å, I 583
hkl 0 0 2, d = 2.954 Å, I 580
hkl 1 7 1, d = 1.604 Å, I 355
hkl 2 4 1, d = 1.593 Å, I 328
hkl 1 1 3, d = 1.737 Å, I 248
hkl 0 4 3, d = 1.682 Å, I 195
hkl 2 0 2, d = 1.613 Å, I 191

=====

Record 3
# La7Sb4H4
Simulated X-ray diffraction stick pattern, λ = 1.5418 Å (Cu Kα). Input: a cell relaxed with GGA-PBE.
Lines closer than 0.1° are merged.

Structural model:
a b c (Å): 15.5263 15.5263 6.4315
angles (deg): 90.00 90.00 90.00
Space group I4/mmm (No. 139)
Symmetry-distinct sites (fractional):
La 0.0000 0.0000 0.2503 (multiplicity 4)
La 0.0000 0.2825 0.0000 (multiplicity 8)
La 0.0000 0.3951 0.5000 (multiplicity 8)
La 0.2004 0.2004 0.5000 (multiplicity 8)
Sb 0.0000 0.1921 0.5000 (multiplicity 8)
Sb 0.1495 0.1495 0.0000 (multiplicity 8)
H 0.1214 0.3786 0.2500 (multiplicity 16)

Principal peaks in the range 10 to 90 degrees two-theta, by intensity:
hkl 5 0 1, d = 2.796 Å, I 1000
hkl 0 0 2, d = 3.216 Å, I 382
hkl 3 3 0, d = 3.660 Å, I 264
hkl 5 0 3, d = 1.764 Å, I 255
hkl 3 1 2, d = 2.690 Å, I 236
hkl 6 0 0, d = 2.588 Å, I 169
hkl 4 0 0, d = 3.882 Å, I 147
hkl 6 2 2, d = 1.951 Å, I 144
hkl 6 5 1, d = 1.899 Å, I 113
hkl 4 2 2, d = 2.359 Å, I 113

=====

Record 4
# La4TlSbH
Simulated X-ray diffraction stick pattern, λ = 1.5418 Å (Cu Kα). Input: a cell relaxed with GGA-PBE.
Lines closer than 0.1° are merged.

Structural model:
a b c (Å): 6.7051 18.0693 6.7226
angles (deg): 90.00 90.00 90.00
Space group Cmcm (No. 63)
Symmetry-distinct sites (fractional):
La 0.0000 0.0698 0.2500 (multiplicity 4)
La 0.0000 0.4296 0.2500 (multiplicity 4)
La 0.2500 0.2500 0.0000 (multiplicity 8)
Tl 0.0000 0.1120 0.7500 (multiplicity 4)
Sb 0.0000 0.3855 0.7500 (multiplicity 4)
H 0.0000 0.2935 0.2500 (multiplicity 4)

Principal peaks in the range 10 to 90 degrees two-theta, by intensity:
hkl 2 4 0, d = 2.694 Å, I 1000
hkl 2 2 0, d = 3.147 Å, I 932
hkl 2 0 2, d = 2.374 Å, I 664
hkl 2 6 2, d = 1.864 Å, I 364
hkl 0 6 0, d = 3.012 Å, I 363
hkl 1 5 1, d = 2.876 Å, I 362
hkl 2 0 0, d = 3.357 Å, I 232
hkl 3 5 1, d = 1.831 Å, I 194
hkl 3 11 1, d = 1.299 Å, I 180
hkl 1 7 1, d = 2.268 Å, I 164

=====

Record 5
# La3SiH
Simulated X-ray diffraction stick pattern, λ = 1.5418 Å (Cu Kα). Input: a cell relaxed with GGA-PBE.
Lines closer than 0.1° are merged.

Structural model:
a b c (Å): 4.0621 7.6011 8.3457
angles (deg): 92.17 90.01 90.01
Space group P-1 (No. 2)
Symmetry-distinct sites (fractional):
La 0.2494 0.1352 0.3776 (multiplicity 2)
La 0.2493 0.7798 0.9677 (multiplicity 2)
La 0.2496 0.5875 0.3244 (multiplicity 2)
Si 0.2506 0.1222 0.7652 (multiplicity 2)
H 0.2504 0.6407 0.6352 (multiplicity 2)

Principal peaks in the range 10 to 90 degrees two-theta, by intensity:
hkl 0 0 3, d = 2.777 Å, I 1000
hkl 1 0 2, d = 2.910 Å, I 942
hkl 0 2 1, d = 3.408 Å, I 798
hkl -1 1 1, d = 3.270 Å, I 779
hkl 0 2 -2, d = 2.862 Å, I 677
hkl 1 2 -1, d = 2.654 Å, I 566
hkl 1 0 1, d = 3.652 Å, I 460
hkl 2 0 0, d = 2.031 Å, I 351
hkl 2 0 -3, d = 1.640 Å, I 289
hkl 1 3 2, d = 1.885 Å, I 273

=====

Record 6
# La5Si3H
Simulated X-ray diffraction stick pattern, λ = 1.5418 Å (Cu Kα). Input: a cell relaxed with GGA-PBE.
Lines closer than 0.1° are merged.

Structural model:
a b c (Å): 8.0465 8.0465 13.8784
angles (deg): 90.00 90.00 90.00
Space group I4/mcm (No. 140)
Symmetry-distinct sites (fractional):
La 0.0000 0.0000 0.0000 (multiplicity 4)
La 0.1746 0.3254 0.1492 (multiplicity 16)
Si 0.0000 0.0000 0.2500 (multiplicity 4)
Si 0.1128 0.3872 0.5000 (multiplicity 8)
H 0.0000 0.5000 0.2500 (multiplicity 4)

Principal peaks in the range 10 to 90 degrees two-theta, by intensity:
hkl 2 1 3, d = 2.841 Å, I 1000
hkl 2 0 2, d = 3.482 Å, I 513
hkl 2 0 4, d = 2.628 Å, I 391
hkl 3 1 0, d = 2.545 Å, I 345
hkl 4 1 3, d = 1.798 Å, I 279
hkl 3 3 4, d = 1.664 Å, I 174
hkl 0 0 8, d = 1.736 Å, I 162
hkl 4 1 1, d = 1.933 Å, I 141
hkl 1 1 4, d = 2.962 Å, I 140
hkl 0 0 6, d = 2.313 Å, I 124

=====

Record 7
# La2Sm4Tl3H2
Simulated X-ray diffraction stick pattern, λ = 1.5418 Å (Cu Kα). Input: a cell relaxed with GGA-PBE.
Lines closer than 0.1° are merged.

Structural model:
a b c (Å): 4.9079 4.9079 25.3413
angles (deg): 90.00 90.00 90.00
Space group I4/mmm (No. 139)
Symmetry-distinct sites (fractional):
La 0.0000 0.0000 0.1979 (multiplicity 4)
Sm 0.0000 0.5000 0.0826 (multiplicity 8)
Tl 0.0000 0.0000 0.3296 (multiplicity 4)
Tl 0.0000 0.0000 0.5000 (multiplicity 2)
H 0.0000 0.0000 0.0993 (multiplicity 4)

Principal peaks in the range 10 to 90 degrees two-theta, by intensity:
hkl 1 1 6, d = 2.681 Å, I 1000
hkl 2 0 0, d = 2.454 Å, I 506
hkl 3 1 6, d = 1.457 Å, I 372
hkl 1 1 2, d = 3.347 Å, I 309
hkl 1 0 1, d = 4.818 Å, I 227
hkl 1 0 7, d = 2.913 Å, I 222
hkl 2 2 0, d = 1.735 Å, I 179
hkl 1 1 4, d = 3.044 Å, I 128
hkl 2 1 7, d = 1.877 Å, I 126
hkl 2 0 12, d = 1.601 Å, I 125

=====

Record 8
# LaSmYH
Simulated X-ray diffraction stick pattern, λ = 1.5418 Å (Cu Kα). Input: a cell relaxed with GGA-PBE.
Lines closer than 0.1° are merged.

Structural model:
a b c (Å): 4.5397 4.5397 10.0589
angles (deg): 90.00 90.00 90.00
Space group P4/nmm (No. 129, origin choice 2)
Symmetry-distinct sites (fractional):
La 0.2500 0.7500 0.0000 (multiplicity 2)
Sm 0.2500 0.2500 0.2550 (multiplicity 2)
Y 0.2500 0.2500 0.5865 (multiplicity 2)
H 0.2500 0.7500 0.5000 (multiplicity 2)

Principal peaks in the range 10 to 90 degrees two-theta, by intensity:
hkl 1 1 1, d = 3.058 Å, I 1000
hkl 1 1 2, d = 2.706 Å, I 911
hkl 1 0 3, d = 2.697 Å, I 861
hkl 2 0 0, d = 2.270 Å, I 657
hkl 1 0 1, d = 4.138 Å, I 467
hkl 2 1 3, d = 1.737 Å, I 460
hkl 1 1 6, d = 1.486 Å, I 335
hkl 3 1 2, d = 1.380 Å, I 333
hkl 3 1 6, d = 1.090 Å, I 254
hkl 2 2 0, d = 1.605 Å, I 221

=====

Record 9
# La4Sn3H2
Simulated X-ray diffraction stick pattern, λ = 1.5418 Å (Cu Kα). Input: a cell relaxed with GGA-PBE.
Lines closer than 0.1° are merged.

Structural model:
a b c (Å): 14.1818 10.0229 6.9271
angles (deg): 90.00 103.93 90.00
Space group C2/c (No. 15)
Symmetry-distinct sites (fractional):
La 0.1058 0.2185 0.0368 (multiplicity 8)
La 0.1929 0.4263 0.5965 (multiplicity 8)
Sn 0.0000 0.4928 0.2500 (multiplicity 4)
Sn 0.1214 0.1115 0.5839 (multiplicity 8)
H 0.2243 0.3635 0.9390 (multiplicity 8)

Principal peaks in the range 10 to 90 degrees two-theta, by intensity:
hkl 1 3 1, d = 2.861 Å, I 1000
hkl 1 3 0, d = 3.245 Å, I 707
hkl 5 1 0, d = 2.655 Å, I 663
hkl 3 1 -2, d = 2.955 Å, I 608
hkl 2 0 -2, d = 3.359 Å, I 495
hkl 3 3 -1, d = 2.639 Å, I 473
hkl 2 0 2, d = 2.769 Å, I 470
hkl 4 0 -2, d = 2.760 Å, I 452
hkl 2 0 -4, d = 1.731 Å, I 301
hkl 1 3 -1, d = 2.991 Å, I 284

=====

Record 10
# La6Sn3H2
Simulated X-ray diffraction stick pattern, λ = 1.5418 Å (Cu Kα). Input: a cell relaxed with GGA-PBE.
Lines closer than 0.1° are merged.

Structural model:
a b c (Å): 4.9242 4.9242 26.3563
angles (deg): 90.00 90.00 90.00
Space group I4/mmm (No. 139)
Symmetry-distinct sites (fractional):
La 0.0000 0.0000 0.2009 (multiplicity 4)
La 0.0000 0.5000 0.0825 (multiplicity 8)
Sn 0.0000 0.0000 0.3265 (multiplicity 4)
Sn 0.0000 0.0000 0.5000 (multiplicity 2)
H 0.0000 0.0000 0.1038 (multiplicity 4)

Principal peaks in the range 10 to 90 degrees two-theta, by intensity:
hkl 1 1 6, d = 2.729 Å, I 1000
hkl 2 0 0, d = 2.462 Å, I 556
hkl 1 1 2, d = 3.366 Å, I 492
hkl 3 1 6, d = 1.468 Å, I 305
hkl 1 0 7, d = 2.991 Å, I 219
hkl 1 1 4, d = 3.079 Å, I 219
hkl 2 2 0, d = 1.741 Å, I 196
hkl 0 0 8, d = 3.295 Å, I 140
hkl 2 0 8, d = 1.972 Å, I 133
hkl 2 1 7, d = 1.901 Å, I 120

=====

Record 11
# Sr3LaH8
Simulated X-ray diffraction stick pattern, λ = 1.5418 Å (Cu Kα). Input: a cell relaxed with GGA-PBE.
Lines closer than 0.1° are merged.

Structural model:
a b c (Å): 5.7652 5.7652 5.7652
angles (deg): 90.00 90.00 90.00
Space group Pm-3m (No. 221)
Symmetry-distinct sites (fractional):
Sr 0.0000 0.0000 0.5000 (multiplicity 3)
La 0.5000 0.5000 0.5000 (multiplicity 1)
H 0.2557 0.2557 0.2557 (multiplicity 8)

Principal peaks in the range 10 to 90 degrees two-theta, by intensity:
hkl 1 1 1, d = 3.329 Å, I 1000
hkl 2 0 0, d = 2.883 Å, I 481
hkl 3 1 1, d = 1.738 Å, I 455
hkl 2 2 0, d = 2.038 Å, I 394
hkl 3 3 1, d = 1.323 Å, I 184
hkl 4 2 0, d = 1.289 Å, I 165
hkl 5 1 1, d = 1.110 Å, I 145
hkl 4 2 2, d = 1.177 Å, I 130
hkl 2 2 2, d = 1.664 Å, I 127
hkl 4 0 0, d = 1.441 Å, I 63

=====

Record 12
# SrLa4H10
Simulated X-ray diffraction stick pattern, λ = 1.5418 Å (Cu Kα). Input: a cell relaxed with GGA-PBE.
Lines closer than 0.1° are merged.

Structural model:
a b c (Å): 3.9971 3.9971 49.2875
angles (deg): 90.00 90.00 120.00
Space group R-3m (No. 166, hexagonal axes)
Symmetry-distinct sites (fractional):
Sr 0.0000 0.0000 0.0000 (multiplicity 3)
La 0.0000 0.0000 0.1996 (multiplicity 6)
La 0.0000 0.0000 0.4015 (multiplicity 6)
H 0.0000 0.0000 0.0520 (multiplicity 6)
H 0.0000 0.0000 0.1503 (multiplicity 6)
H 0.0000 0.0000 0.2493 (multiplicity 6)
H 0.0000 0.0000 0.3526 (multiplicity 6)
H 0.0000 0.0000 0.4511 (multiplicity 6)

Principal peaks in the range 10 to 90 degrees two-theta, by intensity:
hkl 0 1 5, d = 3.266 Å, I 1000
hkl 1 0 10, d = 2.833 Å, I 649
hkl 2 0 5, d = 1.707 Å, I 453
hkl 0 0 15, d = 3.286 Å, I 336
hkl 1 1 0, d = 1.999 Å, I 259
hkl 0 1 20, d = 2.008 Å, I 258
hkl 1 0 25, d = 1.713 Å, I 151
hkl 0 2 10, d = 1.633 Å, I 127
hkl 1 2 5, d = 1.297 Å, I 121
hkl 2 1 10, d = 1.265 Å, I 109